Simulated PXRD pattern
Compound: AlZn2Cu
Radiation: Cu Ka
Structure: a DFT-relaxed cell (PBE, Alexandria)
Peak positions follow from Bragg's law for the DFT cell and can differ from measured ones.

Most intense lines, 2θ from 10° to 90°, low angle first:
two_theta, d (Å), Rel. int., hkl
23.02, 3.864, 3.4, 0 0 2
25.87, 3.444, 11.3, 1 0 1
40.55, 2.225, 100.0, 1 1 2
47.03, 1.932, 16.0, 0 0 4
47.25, 1.924, 31.6, 2 0 0
68.88, 1.363, 19.0, 2 0 4
69.05, 1.360, 9.4, 2 2 0
82.93, 1.164, 11.1, 1 1 6
83.26, 1.160, 21.9, 3 1 2
87.75, 1.112, 9.6, 2 2 4

Atomic structure:
a = 3.8473 Å, b = 3.8473 Å, c = 7.7286 Å
α = 90.00°, β = 90.00°, γ = 90.00°
Element x y z (fractional)
Al 0.0000 0.0000 0.0000
Al 0.5000 0.5000 0.5000
Zn 0.0000 0.0000 0.5000
Zn 0.0000 0.5000 0.2500
Zn 0.5000 0.0000 0.7500
Zn 0.5000 0.5000 0.0000
Cu 0.0000 0.5000 0.7500
Cu 0.5000 0.0000 0.2500

=====

Simulated PXRD pattern
Compound: ZrAl3Cu3
Radiation: Cu Ka
Structure: a DFT-relaxed cell (PBE, Alexandria)
Peak positions follow from Bragg's law for the DFT cell and can differ from measured ones.

Most intense lines, 2θ from 10° to 90°, low angle first:
two_theta, d (Å), Rel. int., hkl
29.98, 2.981, 24.1, 0 2 1
34.14, 2.626, 36.0, 1 1 2
35.81, 2.507, 13.9, 0 2 2
36.36, 2.471, 45.0, 0 1 3
37.21, 2.416, 100.0, 1 2 1
40.15, 2.246, 27.0, 1 0 3
43.86, 2.064, 48.2, 2 0 0
49.53, 1.840, 18.5, 1 2 3
53.35, 1.717, 20.9, 1 3 2
58.25, 1.584, 21.6, 2 1 3

Atomic structure:
a = 4.1272 Å, b = 6.4198 Å, c = 8.0313 Å
α = 90.00°, β = 90.00°, γ = 90.00°
Element x y z (fractional)
Zr 0.2500 0.2500 0.2479
Zr 0.7500 0.7500 0.7521
Al 0.2500 0.0433 0.6175
Al 0.2500 0.4567 0.6175
Al 0.2500 0.7500 0.1279
Al 0.7500 0.2500 0.8721
Al 0.7500 0.5433 0.3825
Al 0.7500 0.9567 0.3825
Cu 0.2500 0.0313 0.9183
Cu 0.2500 0.4687 0.9183
Cu 0.2500 0.7500 0.4356
Cu 0.7500 0.2500 0.5644
Cu 0.7500 0.5313 0.0817
Cu 0.7500 0.9687 0.0817

=====

Q: What is the formula in the second record?
A: ZrAl3Cu3

=====

What did the second record say?
Simulated PXRD pattern
Compound: ZrAl3Cu3
Radiation: Cu Ka
Structure: a DFT-relaxed cell (PBE, Alexandria)
Peak positions follow from Bragg's law for the DFT cell and can differ from measured ones.

Most intense lines, 2θ from 10° to 90°, low angle first:
two_theta, d (Å), Rel. int., hkl
29.98, 2.981, 24.1, 0 2 1
34.14, 2.626, 36.0, 1 1 2
35.81, 2.507, 13.9, 0 2 2
36.36, 2.471, 45.0, 0 1 3
37.21, 2.416, 100.0, 1 2 1
40.15, 2.246, 27.0, 1 0 3
43.86, 2.064, 48.2, 2 0 0
49.53, 1.840, 18.5, 1 2 3
53.35, 1.717, 20.9, 1 3 2
58.25, 1.584, 21.6, 2 1 3

Atomic structure:
a = 4.1272 Å, b = 6.4198 Å, c = 8.0313 Å
α = 90.00°, β = 90.00°, γ = 90.00°
Element x y z (fractional)
Zr 0.2500 0.2500 0.2479
Zr 0.7500 0.7500 0.7521
Al 0.2500 0.0433 0.6175
Al 0.2500 0.4567 0.6175
Al 0.2500 0.7500 0.1279
Al 0.7500 0.2500 0.8721
Al 0.7500 0.5433 0.3825
Al 0.7500 0.9567 0.3825
Cu 0.2500 0.0313 0.9183
Cu 0.2500 0.4687 0.9183
Cu 0.2500 0.7500 0.4356
Cu 0.7500 0.2500 0.5644
Cu 0.7500 0.5313 0.0817
Cu 0.7500 0.9687 0.0817